Diffraction record for Sm2DyScTe4. The powder XRD pattern is computed, not measured: it uses a DFT-relaxed cell (GGA-PBE, Alexandria) and Cu Kα.
Kinematic intensities with the Lorentz-polarization factor, no thermal factor.

Peak list (8 most intense, 5 to 70 degrees two-theta, by angle)
(1 1 1), 2θ = 28.99°, I 100.0
(2 0 2), 2θ = 40.98°, I 12.6
(1 1 -3), 2θ = 41.18°, I 25.1
(3 1 -1), 2θ = 41.73°, I 24.8
(0 2 0), 2θ = 41.96°, I 12.3
(2 2 -2), 2θ = 51.80°, I 13.1
(2 2 2), 2θ = 60.08°, I 12.2
(4 2 0), 2θ = 68.45°, I 11.2

Crystal structure
Lattice parameters (Å, degrees): 7.5105 4.3064 7.6414 90.00 108.88 90.00
Atoms (fractional coordinates):
1 Sm 0.0000 0.0000 0.0000
2 Sm 0.5000 0.5000 0.0000
3 Dy 0.0000 0.5000 0.5000
4 Sc 0.5000 0.0000 0.5000
5 Te 0.2525 0.0000 0.7375
6 Te 0.2624 0.5000 0.2673
7 Te 0.7376 0.5000 0.7327
8 Te 0.7475 0.0000 0.2625